Record 1
This entry pairs a crystal structure of Cu6Pd with its computed powder XRD pattern. Radiation: Cu Kα (λ = 1.5418 Å). Structure: a crystal structure in Alexandria, relaxed with PBE.
Neutral-atom scattering factors, no anomalous dispersion.

The 10 most intense peaks (2θ = 10–90°), most intense first:
2θ 43.69, intensity 100, hkl 1 0 7; 2θ 43.86, intensity 100, hkl 1 1 0; 2θ 63.63, intensity 30, hkl 0 2 7; 2θ 80.49, intensity 29, hkl 2 1 7; 2θ 80.60, intensity 15, hkl 3 0 0; 2θ 80.15, intensity 14, hkl 0 1 14; 2θ 25.41, intensity 3, hkl 1 0 1; 2θ 32.12, intensity 2, hkl 1 0 4; 2θ 35.59, intensity 2, hkl 0 1 5; 2θ 14.94, intensity 2, hkl 0 0 3

a b c (Å): 4.1288 4.1288 17.7925
angles (deg): 90.00 90.00 120.00
Space group R-3m (No. 166, hexagonal axes)
Unique sites:
1 Cu 0.0000 0.0000 0.0717 (multiplicity 6)
2 Cu 0.0000 0.0000 0.2182 (multiplicity 6)
3 Cu 0.0000 0.0000 0.3553 (multiplicity 6)
4 Pd 0.0000 0.0000 0.5000 (multiplicity 3)

---

Record 2
This entry pairs a crystal structure of Cu3Pd2 with its computed powder XRD pattern. Radiation: Cu Kα (λ = 1.5418 Å). Structure: a crystal structure in Alexandria, relaxed with PBE.
Neutral-atom scattering factors, no anomalous dispersion.

The 10 most intense peaks (2θ = 10–90°), most intense first:
2θ 42.91, intensity 100, hkl 1 0 5; 2θ 42.44, intensity 54, hkl 1 1 0; 2θ 77.97, intensity 32, hkl 2 1 5; 2θ 61.57, intensity 17, hkl 2 0 0; 2θ 78.95, intensity 13, hkl 1 1 10; 2θ 63.02, intensity 7, hkl 0 0 10; 2θ 29.66, intensity 5, hkl 1 0 0; 2θ 38.59, intensity 4, hkl 1 0 4; 2θ 30.30, intensity 3, hkl 0 0 5; 2θ 72.81, intensity 2, hkl 1 1 9

a b c (Å): 3.012 3.012 14.750
angles (deg): 90.00 90.00 90.00
Space group P4/mmm (No. 123)
Unique sites:
1 Cu 0.000 0.000 0.000 (multiplicity 1)
2 Cu 0.000 0.000 0.205 (multiplicity 2)
3 Cu 0.000 0.000 0.411 (multiplicity 2)
4 Cu 0.500 0.500 0.500 (multiplicity 1)
5 Pd 0.500 0.500 0.103 (multiplicity 2)
6 Pd 0.500 0.500 0.309 (multiplicity 2)

---

Record 3
This entry pairs a crystal structure of Cu3Pd2 with its computed powder XRD pattern. Radiation: Cu Kα (λ = 1.5418 Å). Structure: a crystal structure in Alexandria, relaxed with PBE.
Neutral-atom scattering factors, no anomalous dispersion.

The 10 most intense peaks (2θ = 10–90°), most intense first:
2θ 41.33, intensity 100, hkl 1 1 -2; 2θ 41.51, intensity 98, hkl 3 1 -1; 2θ 47.79, intensity 65, hkl 0 2 0; 2θ 49.01, intensity 30, hkl 4 0 -3; 2θ 84.76, intensity 23, hkl 3 3 -1; 2θ 69.90, intensity 20, hkl 2 2 1; 2θ 70.89, intensity 18, hkl 4 2 -3; 2θ 84.42, intensity 12, hkl 1 1 3; 2θ 84.62, intensity 11, hkl 1 3 -2; 2θ 86.27, intensity 11, hkl 5 1 -5

a b c (Å): 8.333 3.804 5.904
angles (deg): 90.00 133.99 90.00
Space group C2/m (No. 12)
Unique sites:
1 Cu 0.000 0.000 0.000 (multiplicity 2)
2 Cu 0.198 0.000 0.595 (multiplicity 4)
3 Pd 0.092 0.500 0.800 (multiplicity 4)

---

Record 4
This entry pairs a crystal structure of Cu5Pd4 with its computed powder XRD pattern. Radiation: Cu Kα (λ = 1.5418 Å). Structure: a crystal structure in Alexandria, relaxed with PBE.
Neutral-atom scattering factors, no anomalous dispersion.

The 10 most intense peaks (2θ = 10–90°), most intense first:
2θ 41.34, intensity 100, hkl 4 0 -1; 2θ 46.93, intensity 46, hkl 1 3 -1; 2θ 41.16, intensity 34, hkl 2 0 1; 2θ 50.25, intensity 18, hkl 6 0 0; 2θ 83.30, intensity 15, hkl 5 3 -2; 2θ 71.08, intensity 12, hkl 5 3 1; 2θ 71.31, intensity 12, hkl 7 3 -1; 2θ 89.82, intensity 9, hkl 8 0 -2; 2θ 88.34, intensity 9, hkl 10 0 -1; 2θ 83.06, intensity 8, hkl 1 3 2

a b c (Å): 11.224 8.198 2.744
angles (deg): 90.00 103.92 90.00
Space group C2/m (No. 12)
Unique sites:
1 Cu 0.000 0.000 0.000 (multiplicity 2)
2 Cu 0.000 0.349 0.000 (multiplicity 4)
3 Cu 0.168 0.500 0.668 (multiplicity 4)
4 Pd 0.159 0.171 0.659 (multiplicity 8)

---

Record 5
This entry pairs a crystal structure of CuPd2 with its computed powder XRD pattern. Radiation: Cu Kα (λ = 1.5418 Å). Structure: a crystal structure in Alexandria, relaxed with PBE.
Neutral-atom scattering factors, no anomalous dispersion.

The 10 most intense peaks (2θ = 10–90°), most intense first:
2θ 41.74, intensity 100, hkl 1 1 2; 2θ 41.30, intensity 72, hkl 1 3 0; 2θ 41.44, intensity 36, hkl 2 0 0; 2θ 86.10, intensity 25, hkl 2 0 4; 2θ 75.51, intensity 22, hkl 3 3 0; 2θ 60.25, intensity 22, hkl 2 2 2; 2θ 60.11, intensity 11, hkl 0 4 2; 2θ 75.64, intensity 11, hkl 2 4 2; 2θ 75.80, intensity 11, hkl 3 1 2; 2θ 29.05, intensity 8, hkl 1 1 1

a b c (Å): 4.358 7.581 5.278
angles (deg): 90.00 90.00 90.00
Space group Cmcm (No. 63)
Unique sites:
1 Cu 0.000 0.165 0.250 (multiplicity 4)
2 Pd 0.000 0.168 0.750 (multiplicity 4)
3 Pd 0.000 0.500 0.000 (multiplicity 4)

---

Record 6
This entry pairs a crystal structure of Pm2Cu3Pd4 with its computed powder XRD pattern. Radiation: Cu Kα (λ = 1.5418 Å). Structure: a crystal structure in Alexandria, relaxed with PBE.
Neutral-atom scattering factors, no anomalous dispersion.

The 10 most intense peaks (2θ = 10–90°), most intense first:
2θ 39.84, intensity 100, hkl 1 3 3; 2θ 34.87, intensity 55, hkl 2 0 0; 2θ 40.23, intensity 35, hkl 0 0 6; 2θ 65.88, intensity 22, hkl 3 3 3; 2θ 44.33, intensity 21, hkl 2 0 4; 2θ 72.07, intensity 12, hkl 2 6 0; 2θ 59.67, intensity 12, hkl 1 3 7; 2θ 85.91, intensity 12, hkl 2 6 6; 2θ 37.42, intensity 12, hkl 2 0 2; 2θ 26.51, intensity 11, hkl 0 0 4

a b c (Å): 5.146 9.136 13.450
angles (deg): 90.00 90.00 90.00
Space group Fmmm (No. 69)
Unique sites:
1 Pm 0.000 0.000 0.142 (multiplicity 8)
2 Cu 0.000 0.000 0.500 (multiplicity 4)
3 Cu 0.250 0.250 0.000 (multiplicity 8)
4 Pd 0.000 0.165 0.336 (multiplicity 16)

---

Record 7
This entry pairs a crystal structure of Pm2Cu5Pd12 with its computed powder XRD pattern. Radiation: Cu Kα (λ = 1.5418 Å). Structure: a crystal structure in Alexandria, relaxed with PBE.
Neutral-atom scattering factors, no anomalous dispersion.

The 10 most intense peaks (2θ = 10–90°), most intense first:
2θ 40.13, intensity 100, hkl 3 0 3; 2θ 45.12, intensity 29, hkl 2 2 3; 2θ 40.37, intensity 23, hkl 0 0 6; 2θ 35.32, intensity 22, hkl 0 2 4; 2θ 34.52, intensity 22, hkl 3 0 0; 2θ 73.26, intensity 15, hkl 3 0 9; 2θ 72.81, intensity 12, hkl 6 0 0; 2θ 40.84, intensity 11, hkl 2 0 5; 2θ 65.66, intensity 11, hkl 3 3 3; 2θ 86.70, intensity 9, hkl 6 0 6

a b c (Å): 8.9996 8.9996 13.4067
angles (deg): 90.00 90.00 120.00
Space group R-3m (No. 166, hexagonal axes)
Unique sites:
1 Pm 0.0000 0.0000 0.1609 (multiplicity 6)
2 Cu 0.0000 0.0000 0.4068 (multiplicity 6)
3 Cu 0.0000 0.5000 0.0000 (multiplicity 9)
4 Pd 0.0000 0.2972 0.5000 (multiplicity 18)
5 Pd 0.0117 0.5059 0.3485 (multiplicity 18)

---

Record 8
This entry pairs a crystal structure of Pm3Cu4Pd4 with its computed powder XRD pattern. Radiation: Cu Kα (λ = 1.5418 Å). Structure: a crystal structure in Alexandria, relaxed with PBE.
Neutral-atom scattering factors, no anomalous dispersion.

The 10 most intense peaks (2θ = 10–90°), most intense first:
2θ 34.76, intensity 100, hkl 1 -1 2; 2θ 33.16, intensity 62, hkl 1 0 -4; 2θ 42.02, intensity 51, hkl 0 1 -6; 2θ 43.06, intensity 36, hkl 0 2 -1; 2θ 32.82, intensity 33, hkl -1 1 1; 2θ 55.40, intensity 28, hkl -1 2 3; 2θ 66.49, intensity 25, hkl 2 -1 5; 2θ 49.00, intensity 25, hkl 2 0 -1; 2θ 36.33, intensity 21, hkl 0 1 4; 2θ 49.54, intensity 19, hkl 1 0 6

a b c (Å): 3.718 4.202 14.046
angles (deg): 98.59 97.59 90.04
Space group P-1 (No. 2)
Unique sites:
1 Pm 0.000 0.000 0.000 (multiplicity 1)
2 Pm 0.146 0.648 0.293 (multiplicity 2)
3 Cu 0.253 0.253 0.508 (multiplicity 2)
4 Cu 0.403 0.901 0.803 (multiplicity 2)
5 Pd 0.311 0.809 0.620 (multiplicity 2)
6 Pd 0.453 0.450 0.902 (multiplicity 2)